No. 1
Structure and calculated powder XRD pattern of Cd2Re2O7 (the PBE geometry in the Materials Project; Cu Ka).
Neutral-atom scattering factors, no anomalous dispersion.

Main lines, sorted by position (2θ = 10–90°):
| Position (°2θ) | I (rel.) |
| --- | --- |
| 14.78 | 10 |
| 28.51 | 7 |
| 29.81 | 100 |
| 34.55 | 37 |
| 49.67 | 42 |
| 59.01 | 43 |
| 61.91 | 12 |
| 72.88 | 6 |
| 80.67 | 17 |
| 83.22 | 16 |

Structural model:
```
Cd2Re2O7
1.0
0.0000 5.1918 5.1918
5.1918 0.0000 5.1918
5.1918 5.1918 0.0000
Cd Re O
4 4 14
Direct
0.0000 0.0000 0.0000
0.0000 0.0000 0.5000
0.0000 0.5000 0.0000
0.5000 0.0000 0.0000
0.0000 0.5000 0.5000
0.5000 0.0000 0.5000
0.5000 0.5000 0.0000
0.5000 0.5000 0.5000
0.1250 0.1250 0.1250
0.1857 0.1857 0.5643
0.1857 0.5643 0.1857
0.1857 0.5643 0.5643
0.4357 0.4357 0.8143
0.4357 0.8143 0.4357
0.4357 0.8143 0.8143
0.5643 0.1857 0.1857
0.5643 0.1857 0.5643
0.5643 0.5643 0.1857
0.8143 0.4357 0.4357
0.8143 0.4357 0.8143
0.8143 0.8143 0.4357
0.8750 0.8750 0.8750
```

No. 2
Structure and calculated powder XRD pattern of CdRh2O4 (the PBE geometry in the Materials Project; Cu Ka).
Neutral-atom scattering factors, no anomalous dispersion.

Main lines, sorted by position (2θ = 10–90°):
| Position (°2θ) | I (rel.) |
| --- | --- |
| 28.28 | 32 |
| 33.29 | 100 |
| 34.81 | 20 |
| 40.42 | 10 |
| 50.06 | 11 |
| 53.33 | 39 |
| 58.49 | 39 |
| 68.99 | 12 |
| 69.90 | 10 |
| 83.11 | 20 |

Structural model:
```
CdRh2O4
1.0
0.0000 4.4634 4.4634
4.4634 0.0000 4.4634
4.4634 4.4634 0.0000
Cd Rh O
2 4 8
Direct
0.1250 0.1250 0.1250
0.8750 0.8750 0.8750
0.0000 0.5000 0.5000
0.5000 0.0000 0.5000
0.5000 0.5000 0.0000
0.5000 0.5000 0.5000
0.2685 0.2685 0.2685
0.2685 0.2685 0.6946
0.2685 0.6946 0.2685
0.3054 0.7315 0.7315
0.6946 0.2685 0.2685
0.7315 0.3054 0.7315
0.7315 0.7315 0.3054
0.7315 0.7315 0.7315
```

No. 3
Structure and calculated powder XRD pattern of CdRuO3 (the PBE geometry in the Materials Project; Cu Ka).
Neutral-atom scattering factors, no anomalous dispersion.

Main lines, sorted by position (2θ = 10–90°):
| Position (°2θ) | I (rel.) |
| --- | --- |
| 32.23 | 100 |
| 39.74 | 3 |
| 46.22 | 31 |
| 57.46 | 38 |
| 67.43 | 18 |
| 76.72 | 16 |
| 81.22 | 1 |
| 85.66 | 6 |

Structural model:
```
CdRuO3
1.0
3.9282 0.0000 0.0000
0.0000 3.9282 0.0000
0.0000 0.0000 3.9282
Cd Ru O
1 1 3
Direct
0.0000 0.0000 0.0000
0.5000 0.5000 0.5000
0.0000 0.5000 0.5000
0.5000 0.0000 0.5000
0.5000 0.5000 0.0000
```

No. 4
Structure and calculated powder XRD pattern of Cd2Ru2O7 (the PBE geometry in the Materials Project; Cu Ka).
Neutral-atom scattering factors, no anomalous dispersion.

Main lines, sorted by position (2θ = 10–90°):
| Position (°2θ) | I (rel.) |
| --- | --- |
| 30.20 | 100 |
| 35.01 | 32 |
| 38.27 | 3 |
| 46.00 | 1 |
| 50.35 | 44 |
| 59.84 | 41 |
| 62.79 | 10 |
| 73.96 | 6 |
| 81.92 | 16 |
| 84.53 | 14 |

Structural model:
```
Cd2Ru2O7
1.0
0.0000 5.1261 5.1261
5.1261 0.0000 5.1261
5.1261 5.1261 0.0000
Cd Ru O
4 4 14
Direct
0.0000 0.0000 0.0000
0.0000 0.0000 0.5000
0.0000 0.5000 0.0000
0.5000 0.0000 0.0000
0.0000 0.5000 0.5000
0.5000 0.0000 0.5000
0.5000 0.5000 0.0000
0.5000 0.5000 0.5000
0.1250 0.1250 0.1250
0.1809 0.1809 0.5691
0.1809 0.5691 0.1809
0.1809 0.5691 0.5691
0.4309 0.4309 0.8191
0.4309 0.8191 0.4309
0.4309 0.8191 0.8191
0.5691 0.1809 0.1809
0.5691 0.1809 0.5691
0.5691 0.5691 0.1809
0.8191 0.4309 0.4309
0.8191 0.4309 0.8191
0.8191 0.8191 0.4309
0.8750 0.8750 0.8750
```